Starting from a GGA+U-relaxed structure, the X-ray diffraction stick pattern of KCrAsF6 was calculated for λ = 1.5418 Å (Cu Kα).
Intensities are scaled so that the largest is 100.

Principal peaks in the range 2θ from 10° to 90°, low angle first:
| 2theta | I (rel.) | h k l |
| --- | --- | --- |
| 16.85 | 100 | 1 0 0 |
| 24.01 | 66 | 1 0 1 |
| 24.38 | 65 | 1 1 0 |
| 24.77 | 61 | 1 1 1 |
| 30.58 | 25 | 0 1 2 |
| 35.08 | 28 | 1 1 2 |
| 45.71 | 31 | 2 1 -1 |
| 46.37 | 25 | 2 1 2 |

Structure:
Lattice parameters (Å, degrees): 5.262 5.688 5.860 63.02 89.87 89.75
Element x y z (fractional)
K 0.000 0.000 0.000
Cr 0.473 0.337 0.328
As 0.491 0.678 0.667
F 0.244 0.474 0.894
F 0.256 0.045 0.588
F 0.295 0.629 0.399
F 0.662 0.624 0.029
F 0.663 0.057 0.290
F 0.671 0.380 0.684